Calculated powder diffraction line list of NaVS2O8 for Cu Kα, from a DFT-relaxed cell (PBE+U, Alexandria).
Lines closer than 0.1° are merged.

a = 4.8193 Å, b = 4.8193 Å, c = 23.0870 Å
α = 90.00°, β = 90.00°, γ = 120.00°
Space group R-3 (No. 148, hexagonal axes)
One atom of each set of equivalent atoms:
Na 0.0000 0.0000 0.0000
V 0.0000 0.0000 0.5000
S 0.0000 0.0000 0.2419
O 0.0000 0.0000 0.3051
O 0.0254 0.3044 0.2197

Main lines, low angle first (5 to 70 degrees two-theta):
| Position (°2θ) | d [Å] | Rel. int. | index |
| --- | --- | --- | --- |
| 11.50 | 7.696 | 37 | 0 0 3 |
| 26.35 | 3.382 | 100 | 1 0 4 |
| 37.32 | 2.410 | 23 | 1 1 0 |
| 37.90 | 2.374 | 13 | 0 1 8 |
| 39.18 | 2.300 | 11 | 1 1 3 |
| 44.36 | 2.042 | 11 | 2 -1 6 |
| 46.26 | 1.962 | 9 | 0 2 4 |
| 60.88 | 1.522 | 11 | 2 1 4 |
| 61.70 | 1.503 | 12 | 1 1 12 |
| 67.30 | 1.391 | 11 | 3 0 0 |